This entry pairs a crystal structure of CrCuO2 with its calculated powder XRD pattern. Radiation: Cu Kα X-rays. Structure: DFT lattice parameters and positions (GGA+U).
No peak broadening, texture or thermal motion is included.

Structural model:
abc: 3.0495 3.0495 11.4614
angles: 90.00 90.00 120.00
Positions (direct):
Cr1 0.0000 0.0000 0.0000
Cr2 0.0000 0.0000 0.5000
Cu1 0.3333 0.6667 0.2500
Cu2 0.6667 0.3333 0.7500
O1 0.3333 0.6667 0.0880
O2 0.3333 0.6667 0.4120
O3 0.6667 0.3333 0.5880
O4 0.6667 0.3333 0.9120

Peak list (8 most intense, 10° ≤ 2θ ≤ 90°, sorted by position)
2θ/deg	intensity
31.22	422
34.86	1000
37.50	943
52.89	242
59.75	339
60.74	354
67.28	129
69.88	225

---

This entry pairs a crystal structure of Li3FeP2O8 with its calculated powder XRD pattern. Radiation: Cu Kα X-rays. Structure: DFT lattice parameters and positions (GGA+U).
No peak broadening, texture or thermal motion is included.

Structural model:
abc: 4.7968 5.8216 10.2698
angles: 90.00 91.04 90.00
Positions (direct):
Li1 0.0000 0.0000 0.0015
Li2 0.0000 0.5000 0.9985
Li3 0.0079 0.2465 0.7301
Li4 0.4006 0.7503 0.4357
Li5 0.5994 0.2503 0.5643
Li6 0.9921 0.7465 0.2699
Fe1 0.4783 0.7487 0.7740
Fe2 0.5217 0.2487 0.2260
P1 0.1074 0.2490 0.4028
P2 0.4311 0.2488 0.9113
P3 0.5689 0.7488 0.0887
P4 0.8926 0.7490 0.5972
O1 0.1883 0.2488 0.5468
O2 0.2138 0.7492 0.6167
O3 0.2470 0.0402 0.3295
O4 0.2472 0.4579 0.3297
O5 0.2526 0.7488 0.0876
O6 0.2941 0.0368 0.8400
O7 0.2937 0.4607 0.8399
O8 0.3013 0.2488 0.0509
O9 0.6987 0.7488 0.9491
O10 0.7059 0.5368 0.1600
O11 0.7063 0.9607 0.1601
O12 0.7474 0.2488 0.9124
O13 0.7530 0.5402 0.6705
O14 0.7528 0.9579 0.6703
O15 0.7862 0.2492 0.3833
O16 0.8117 0.7488 0.4532

Peak list (8 most intense, 10° ≤ 2θ ≤ 90°, sorted by position)
2θ/deg	intensity
17.51	1000
20.29	523
23.10	674
25.66	753
30.72	697
35.47	613
35.99	562
40.13	588

---

This entry pairs a crystal structure of Cu2NiTeO6 with its calculated powder XRD pattern. Radiation: Cu Kα X-rays. Structure: DFT lattice parameters and positions (GGA+U).
No peak broadening, texture or thermal motion is included.

Structural model:
abc: 8.3692 8.3692 8.3692
angles: 109.64 109.54 109.24
Positions (direct):
Cu1 0.0284 0.7500 0.7784
Cu2 0.2229 0.4729 0.7500
Cu3 0.2500 0.2792 0.0292
Cu4 0.2771 0.0271 0.2500
Cu5 0.4716 0.2500 0.7216
Cu6 0.7197 0.9697 0.7500
Cu7 0.7500 0.2208 0.4708
Cu8 0.7803 0.5303 0.2500
Ni1 0.2500 0.7887 0.5387
Ni2 0.5404 0.7500 0.2904
Ni3 0.7500 0.7113 0.9613
Ni4 0.9596 0.2500 0.2096
Te1 0.0000 0.4964 0.9989
Te2 0.5000 0.4989 0.4964
Te3 0.5025 0.0036 0.0036
Te4 0.9975 0.0011 0.5011
O1 0.0252 0.8056 0.5708
O2 0.0384 0.5568 0.2649
O3 0.0572 0.7664 0.0418
O4 0.2011 0.2295 0.7669
O5 0.2246 0.0154 0.4582
O6 0.2360 0.3051 0.2770
O7 0.2640 0.5410 0.0691
O8 0.2754 0.7336 0.7908
O9 0.2989 0.0658 0.0284
O10 0.4428 0.4846 0.7092
O11 0.4616 0.7265 0.5184
O12 0.4748 0.0456 0.7804
O13 0.5281 0.9590 0.2230
O14 0.5374 0.2705 0.4716
O15 0.5696 0.5222 0.3017
O16 0.7081 0.9432 0.9816
O17 0.7204 0.2679 0.1983
O18 0.7348 0.4544 0.9292
O19 0.7652 0.6944 0.7196
O20 0.7796 0.9778 0.5474
O21 0.7919 0.7735 0.2351
O22 0.9304 0.2321 0.9526
O23 0.9626 0.4342 0.7331
O24 0.9719 0.1949 0.4309

Peak list (8 most intense, 10° ≤ 2θ ≤ 90°, sorted by position)
2θ/deg	intensity
18.36	170
32.08	1000
37.10	94
37.27	183
53.61	260
53.73	122
63.75	105
63.97	192

---

This entry pairs a crystal structure of KLiNiO2 with its calculated powder XRD pattern. Radiation: Cu Kα X-rays. Structure: DFT lattice parameters and positions (GGA+U).
No peak broadening, texture or thermal motion is included.

Structural model:
abc: 5.8131 5.8131 8.2359
angles: 117.52 117.52 33.14
Positions (direct):
K1 0.1612 0.1612 0.1261
K2 0.8388 0.8388 0.8739
Li1 0.3414 0.3414 0.5514
Li2 0.6586 0.6586 0.4486
Ni1 0.0532 0.0532 0.6841
Ni2 0.9468 0.9468 0.3159
O1 0.1754 0.1754 0.5820
O2 0.4623 0.4623 0.2007
O3 0.5377 0.5377 0.7993
O4 0.8246 0.8246 0.4180

Peak list (8 most intense, 10° ≤ 2θ ≤ 90°, sorted by position)
2θ/deg	intensity
16.30	536
18.17	324
28.43	864
32.59	1000
36.33	458
37.46	608
40.93	544
43.90	356

---

This entry pairs a crystal structure of K2FeCl5O with its calculated powder XRD pattern. Radiation: Cu Kα X-rays. Structure: DFT lattice parameters and positions (GGA+U).
No peak broadening, texture or thermal motion is included.

Structural model:
abc: 13.7241 9.5682 7.0630
angles: 90.00 90.00 90.00
Positions (direct):
K1 0.1358 0.9997 0.1808
K2 0.1358 0.5003 0.1808
K3 0.3642 0.0003 0.6808
K4 0.3642 0.4997 0.6808
K5 0.6358 0.9997 0.3192
K6 0.6358 0.5003 0.3192
K7 0.8642 0.0003 0.8192
K8 0.8642 0.4997 0.8192
Fe1 0.1139 0.2500 0.6990
Fe2 0.3861 0.7500 0.1990
Fe3 0.6139 0.2500 0.8010
Fe4 0.8861 0.7500 0.3010
Cl1 0.0077 0.2500 0.9760
Cl2 0.1001 0.0071 0.6777
Cl3 0.1001 0.4929 0.6777
Cl4 0.2309 0.2500 0.4401
Cl5 0.2441 0.2500 0.9050
Cl6 0.2559 0.7500 0.4050
Cl7 0.2691 0.7500 0.9401
Cl8 0.3999 0.5071 0.1777
Cl9 0.3999 0.9929 0.1777
Cl10 0.4923 0.7500 0.4760
Cl11 0.5077 0.2500 0.5240
Cl12 0.6001 0.0071 0.8223
Cl13 0.6001 0.4929 0.8223
Cl14 0.7309 0.2500 0.0599
Cl15 0.7441 0.2500 0.5950
Cl16 0.7559 0.7500 0.0950
Cl17 0.7691 0.7500 0.5599
Cl18 0.8999 0.5071 0.3223
Cl19 0.8999 0.9929 0.3223
Cl20 0.9923 0.7500 0.0240
O1 0.0127 0.2500 0.5422
O2 0.4873 0.7500 0.0422
O3 0.5127 0.2500 0.9578
O4 0.9873 0.7500 0.4578

Peak list (8 most intense, 10° ≤ 2θ ≤ 90°, sorted by position)
2θ/deg	intensity
15.59	518
15.89	533
25.98	344
32.07	1000
32.17	372
36.51	450
37.60	497
53.42	353